Diffraction record for Nd4Te5H. The powder XRD pattern is computed, not measured: it uses a crystal structure in Alexandria, relaxed with GGA-PBE and a wavelength of 1.5418 Å.

Principal peaks in the range 5 to 70 degrees two-theta, by angle:
| Position (°2θ) | I (rel.) |
| --- | --- |
| 17.29 | 26 |
| 21.14 | 33 |
| 25.06 | 30 |
| 25.10 | 26 |
| 27.06 | 39 |
| 30.54 | 100 |
| 37.90 | 33 |
| 38.08 | 66 |
| 42.02 | 28 |
| 44.41 | 31 |

Structure:
```
10
Lattice="10.677 -2.150 0.000 10.677 2.150 0.000 -3.081 0.000 7.557" Properties=species:S:1:pos:R:3 pbc="T T T"
Nd -0.716 0.000 1.772
Nd 18.989 0.000 5.785
Nd 3.602 0.000 5.904
Nd 14.671 0.000 1.653
Te 2.150 0.000 3.079
Te 0.584 0.000 6.901
Te 9.136 0.000 3.778
Te 17.689 0.000 0.656
Te 16.122 0.000 4.478
H 10.677 0.000 0.000
```

---

Diffraction record for NdTh3H8. The powder XRD pattern is computed, not measured: it uses a crystal structure in Alexandria, relaxed with GGA-PBE and a wavelength of 1.5418 Å.

Principal peaks in the range 5 to 70 degrees two-theta, by angle:
| Position (°2θ) | I (rel.) |
| --- | --- |
| 16.23 | 2 |
| 23.03 | 2 |
| 28.31 | 100 |
| 32.80 | 50 |
| 36.80 | 1 |
| 40.46 | 1 |
| 47.07 | 39 |
| 55.83 | 47 |
| 58.55 | 13 |
| 68.76 | 6 |

Structure:
```
12
Lattice="5.461 0.000 0.000 0.000 5.461 0.000 0.000 0.000 5.461" Properties=species:S:1:pos:R:3 pbc="T T T"
Nd 0.000 0.000 0.000
Th 0.000 2.731 2.731
Th 2.731 0.000 2.731
Th 2.731 2.731 0.000
H 1.373 1.373 1.373
H 1.373 1.373 4.088
H 1.373 4.088 1.373
H 1.373 4.088 4.088
H 4.088 1.373 1.373
H 4.088 1.373 4.088
H 4.088 4.088 1.373
H 4.088 4.088 4.088
```

---

Diffraction record for NdTiH. The powder XRD pattern is computed, not measured: it uses a crystal structure in Alexandria, relaxed with GGA-PBE and a wavelength of 1.5418 Å.

Principal peaks in the range 5 to 70 degrees two-theta, by angle:
| Position (°2θ) | I (rel.) |
| --- | --- |
| 23.61 | 35 |
| 27.62 | 55 |
| 31.95 | 53 |
| 32.20 | 53 |
| 32.94 | 100 |
| 37.78 | 59 |
| 40.11 | 59 |
| 42.73 | 50 |
| 56.94 | 43 |
| 64.43 | 30 |

Structure:
```
12
Lattice="3.235 0.000 0.000 -1.617 2.801 0.000 0.000 0.000 22.609" Properties=species:S:1:pos:R:3 pbc="T T T"
Nd 0.000 1.868 6.198
Nd 0.000 1.868 9.629
Nd 1.617 0.934 12.979
Nd 1.617 0.934 16.410
Ti 0.000 1.868 18.990
Ti 0.000 1.868 21.564
Ti 1.617 0.934 1.045
Ti 1.617 0.934 3.619
H 0.000 1.868 2.575
H 0.000 1.868 14.634
H 1.617 0.934 7.975
H 1.617 0.934 20.033
```

---

Diffraction record for Nd2TlH. The powder XRD pattern is computed, not measured: it uses a crystal structure in Alexandria, relaxed with GGA-PBE and a wavelength of 1.5418 Å.

Principal peaks in the range 5 to 70 degrees two-theta, by angle:
| Position (°2θ) | I (rel.) |
| --- | --- |
| 31.14 | 100 |
| 31.60 | 25 |
| 31.93 | 24 |
| 43.69 | 9 |
| 45.54 | 19 |
| 54.91 | 9 |
| 55.12 | 9 |
| 55.99 | 19 |
| 56.40 | 19 |
| 64.94 | 11 |

Structure:
```
16
Lattice="5.663 0.000 0.000 0.000 12.431 0.000 0.000 0.000 5.606" Properties=species:S:1:pos:R:3 pbc="T T T"
Nd 1.409 1.225 0.000
Nd 1.409 11.206 2.803
Nd 1.422 4.991 0.000
Nd 1.422 7.440 2.803
Nd 4.241 4.991 2.803
Nd 4.241 7.440 0.000
Nd 4.254 1.225 2.803
Nd 4.254 11.206 0.000
Tl 1.416 3.108 2.803
Tl 1.416 9.323 0.000
Tl 4.247 3.108 0.000
Tl 4.247 9.323 2.803
H 0.000 0.000 1.402
H 0.000 0.000 4.205
H 2.831 6.216 1.402
H 2.831 6.216 4.205
```

---

Diffraction record for Nd6Tl2H. The powder XRD pattern is computed, not measured: it uses a crystal structure in Alexandria, relaxed with GGA-PBE and a wavelength of 1.5418 Å.

Principal peaks in the range 5 to 70 degrees two-theta, by angle:
| Position (°2θ) | I (rel.) |
| --- | --- |
| 28.43 | 62 |
| 29.06 | 58 |
| 31.57 | 37 |
| 32.34 | 43 |
| 32.56 | 100 |
| 33.03 | 39 |
| 33.16 | 61 |
| 33.33 | 57 |
| 53.64 | 24 |
| 59.39 | 25 |

Structure:
```
18
Lattice="6.661 0.000 0.000 0.000 9.435 0.000 -5.210 0.000 8.413" Properties=species:S:1:pos:R:3 pbc="T T T"
Nd -1.706 1.313 4.071
Nd -4.311 3.404 8.277
Nd 1.123 0.357 1.712
Nd -1.482 4.360 5.918
Nd -0.098 6.956 3.737
Nd -2.703 7.196 7.943
Nd 4.154 2.239 0.469
Nd 1.549 2.479 4.676
Nd 2.933 5.074 2.495
Nd 0.328 9.078 6.701
Nd 5.762 6.030 0.136
Nd 3.157 8.121 4.342
Tl -3.107 0.809 6.886
Tl -0.502 3.908 2.680
Tl 1.953 5.526 5.733
Tl 4.558 8.626 1.526
H 0.726 0.000 4.206
H 3.331 4.717 0.000
```

---

Diffraction record for NdY3H. The powder XRD pattern is computed, not measured: it uses a crystal structure in Alexandria, relaxed with GGA-PBE and a wavelength of 1.5418 Å.

Principal peaks in the range 5 to 70 degrees two-theta, by angle:
| Position (°2θ) | I (rel.) |
| --- | --- |
| 17.55 | 4 |
| 24.92 | 4 |
| 30.64 | 100 |
| 35.53 | 51 |
| 39.89 | 2 |
| 43.89 | 2 |
| 51.12 | 35 |
| 54.47 | 1 |
| 60.79 | 41 |
| 63.80 | 12 |

Structure:
```
5
Lattice="5.053 0.000 0.000 0.000 5.053 0.000 0.000 0.000 5.053" Properties=species:S:1:pos:R:3 pbc="T T T"
Nd 0.000 0.000 0.000
Y 0.000 2.527 2.527
Y 2.527 0.000 2.527
Y 2.527 2.527 0.000
H 2.527 2.527 2.527
```

---

Diffraction record for Ni8H5. The powder XRD pattern is computed, not measured: it uses a crystal structure in Alexandria, relaxed with GGA-PBE and a wavelength of 1.5418 Å.

Principal peaks in the range 5 to 70 degrees two-theta, by angle:
| Position (°2θ) | I (rel.) |
| --- | --- |
| 40.56 | 36 |
| 42.60 | 42 |
| 46.05 | 100 |
| 46.11 | 54 |
| 60.27 | 17 |
| 60.32 | 6 |

Structure:
```
13
Lattice="4.244 -2.565 0.000 4.244 2.565 0.000 -4.238 0.000 4.453" Properties=species:S:1:pos:R:3 pbc="T T T"
Ni -1.031 1.293 3.703
Ni -1.028 0.000 1.491
Ni 1.048 0.000 2.953
Ni 5.282 1.293 0.751
Ni -1.031 -1.293 3.703
Ni 3.203 0.000 1.501
Ni 5.279 0.000 2.963
Ni 5.282 -1.293 0.751
H -2.228 0.000 4.431
H 2.125 1.306 2.227
H 4.244 0.000 0.000
H 2.125 -1.306 2.227
H 6.479 0.000 0.023
```

---

Diffraction record for Ni5H3. The powder XRD pattern is computed, not measured: it uses a crystal structure in Alexandria, relaxed with GGA-PBE and a wavelength of 1.5418 Å.

Principal peaks in the range 5 to 70 degrees two-theta, by angle:
| Position (°2θ) | I (rel.) |
| --- | --- |
| 30.90 | 10 |
| 36.55 | 50 |
| 39.88 | 29 |
| 42.01 | 13 |
| 44.59 | 75 |
| 44.70 | 34 |
| 45.28 | 58 |
| 47.57 | 100 |
| 51.70 | 55 |
| 58.53 | 13 |

Structure:
```
16
Lattice="6.204 0.000 0.000 0.000 8.036 0.000 0.000 0.000 2.546" Properties=species:S:1:pos:R:3 pbc="T T T"
Ni 0.000 0.000 0.000
Ni 0.995 2.473 0.000
Ni 1.057 4.711 1.273
Ni 2.045 0.693 1.273
Ni 2.107 6.491 0.000
Ni 3.102 4.018 0.000
Ni 4.097 1.545 0.000
Ni 4.159 7.342 1.273
Ni 5.147 3.325 1.273
Ni 5.210 5.562 0.000
H 0.000 4.018 0.000
H 1.057 7.260 1.273
H 2.045 3.242 1.273
H 3.102 0.000 0.000
H 4.159 4.793 1.273
H 5.147 0.775 1.273
```

---

Diffraction record for Ni3H4. The powder XRD pattern is computed, not measured: it uses a crystal structure in Alexandria, relaxed with GGA-PBE and a wavelength of 1.5418 Å.

Principal peaks in the range 5 to 70 degrees two-theta, by angle:
| Position (°2θ) | I (rel.) |
| --- | --- |
| 21.43 | 6 |
| 35.35 | 28 |
| 41.72 | 100 |
| 43.66 | 37 |
| 50.86 | 5 |
| 55.80 | 1 |
| 63.45 | 7 |
| 63.50 | 2 |
| 67.79 | 18 |
| 67.84 | 11 |

Structure:
```
14
Lattice="2.537 1.465 4.151 -2.537 1.465 4.151 0.000 -2.930 4.151" Properties=species:S:1:pos:R:3 pbc="T T T"
Ni 0.000 0.000 0.000
Ni -2.537 0.000 6.226
Ni -1.269 0.733 2.075
Ni 0.000 0.000 4.665
Ni 1.269 0.733 2.075
Ni 0.000 0.000 7.787
H -1.373 -0.793 7.221
H 0.000 0.000 2.984
H 0.000 -1.585 5.231
H -1.373 0.793 5.231
H 1.373 -0.793 7.221
H 0.000 1.585 7.221
H 0.000 0.000 9.469
H 1.373 0.793 5.231
```

---

Diffraction record for Ni5H6. The powder XRD pattern is computed, not measured: it uses a crystal structure in Alexandria, relaxed with GGA-PBE and a wavelength of 1.5418 Å.

Principal peaks in the range 5 to 70 degrees two-theta, by angle:
| Position (°2θ) | I (rel.) |
| --- | --- |
| 21.12 | 9 |
| 22.93 | 8 |
| 23.98 | 14 |
| 26.86 | 10 |
| 31.37 | 7 |
| 36.78 | 4 |
| 42.78 | 100 |
| 42.99 | 33 |
| 49.64 | 23 |
| 49.99 | 45 |

Structure:
```
11
Lattice="2.248 -3.878 0.000 2.248 3.878 0.000 -1.526 0.000 4.207" Properties=species:S:1:pos:R:3 pbc="T T T"
Ni 0.000 0.000 0.000
Ni 1.485 2.589 2.104
Ni 2.248 1.296 0.000
Ni 2.248 -1.296 0.000
Ni 1.485 -2.589 2.104
H 0.711 1.355 1.071
H -0.061 0.000 3.217
H 0.711 -1.355 1.071
H 2.258 1.355 3.137
H 3.030 0.000 0.990
H 2.258 -1.355 3.137
```